1.
LaHgOs3: computed PXRD pattern (CuKα), based on a cell relaxed with PBE.

Main lines, sorted by position (2θ from 10° to 90°):
d (Å)	2θ (°)	I/Imax
4.945	17.94	43
3.497	25.47	14
2.855	31.33	60
2.473	36.33	100
2.212	40.80	23
1.748	52.33	71
1.648	55.77	12
1.491	62.27	26
1.428	65.37	24
1.106	88.40	34

Structure:
Unit cell a=4.9453 b=4.9453 c=4.9453 alpha=90.00 beta=90.00 gamma=90.00
Sites, in units of the cell vectors:
La1 0.0000 0.0000 0.0000
Hg1 0.5000 0.5000 0.5000
Os1 0.0000 0.5000 0.5000
Os2 0.5000 0.0000 0.5000
Os3 0.5000 0.5000 0.0000


2.
Pr2PuC2Br2: computed PXRD pattern (CuKα), based on a cell relaxed with PBE.

Main lines, sorted by position (2θ from 10° to 90°):
d (Å)	2θ (°)	I/Imax
8.019	11.03	40
3.433	25.95	13
3.167	28.18	82
2.608	34.39	100
2.239	40.28	36
1.699	53.97	55
1.431	65.21	13
1.416	65.96	15
1.353	69.45	13
1.158	83.45	16

Structure:
Unit cell a=8.6217 b=8.6217 c=8.6217 alpha=149.89 beta=149.89 gamma=43.10
Sites, in units of the cell vectors:
Pr1 0.1007 0.1007 0.0000
Pr2 0.8993 0.8993 0.0000
Pu1 0.5000 0.5000 0.0000
C1 0.0000 0.5000 0.5000
C2 0.5000 0.0000 0.5000
Br1 0.3123 0.3123 0.0000
Br2 0.6877 0.6877 0.0000


3.
CaPa2Pt4: computed PXRD pattern (CuKα), based on a cell relaxed with PBE.

Main lines, sorted by position (2θ from 10° to 90°):
d (Å)	2θ (°)	I/Imax
4.537	19.57	50
2.820	31.73	64
2.698	33.21	77
2.542	35.30	82
2.448	36.71	36
2.247	40.14	100
2.218	40.68	83
2.197	41.08	65
2.178	41.46	33
1.733	52.82	31

Structure:
Unit cell a=8.0961 b=8.0961 c=9.0743 alpha=90.00 beta=90.00 gamma=148.50
Sites, in units of the cell vectors:
Ca1 0.1632 0.8368 0.7500
Ca2 0.8368 0.1632 0.2500
Pa1 0.3868 0.6132 0.5547
Pa2 0.3868 0.6132 0.9453
Pa3 0.6132 0.3868 0.0547
Pa4 0.6132 0.3868 0.4453
Pt1 0.0000 0.0000 0.0000
Pt2 0.0000 0.0000 0.5000
Pt3 0.2224 0.7776 0.0974
Pt4 0.2224 0.7776 0.4026
Pt5 0.4683 0.5317 0.2500
Pt6 0.5317 0.4683 0.7500
Pt7 0.7776 0.2224 0.5974
Pt8 0.7776 0.2224 0.9026


4.
Cs3CO3: computed PXRD pattern (CuKα), based on a cell relaxed with PBE.

Main lines, sorted by position (2θ from 10° to 90°):
d (Å)	2θ (°)	I/Imax
5.966	14.85	23
4.301	20.65	20
3.583	24.85	33
3.402	26.20	100
2.983	29.95	79
2.150	42.02	25
2.071	43.72	24
1.844	49.43	16
1.793	50.94	36
1.769	51.68	16

Structure:
Unit cell a=5.9750 b=5.9750 c=5.9750 alpha=87.75 beta=87.75 gamma=87.75
Sites, in units of the cell vectors:
Cs1 0.0047 0.4977 0.4977
Cs2 0.4977 0.0047 0.4977
Cs3 0.4977 0.4977 0.0046
C1 0.1081 0.1081 0.1081
O1 0.0192 0.0192 0.2937
O2 0.0192 0.2937 0.0192
O3 0.2937 0.0192 0.0192


5.
Pr2Al3Zn6: computed PXRD pattern (CuKα), based on a cell relaxed with PBE.

Main lines, sorted by position (2θ from 10° to 90°):
d (Å)	2θ (°)	I/Imax
3.889	22.87	11
3.368	26.46	14
2.845	31.45	100
2.546	35.25	23
2.246	40.16	26
2.173	41.55	45
2.086	43.38	20
1.614	57.08	11
1.528	60.59	15
1.386	67.56	22

Structure:
Unit cell a=7.7787 b=7.7787 c=4.1719 alpha=90.00 beta=90.00 gamma=120.00
Sites, in units of the cell vectors:
Pr1 0.3333 0.6667 0.0000
Pr2 0.6667 0.3333 0.0000
Al1 0.0000 0.6263 0.5000
Al2 0.3737 0.3737 0.5000
Al3 0.6263 0.0000 0.5000
Zn1 0.0000 0.2934 0.5000
Zn2 0.0000 0.8111 0.0000
Zn3 0.1889 0.1889 0.0000
Zn4 0.2934 0.0000 0.5000
Zn5 0.7066 0.7066 0.5000
Zn6 0.8111 0.0000 0.0000


6.
Ac4DySe7: computed PXRD pattern (CuKα), based on a cell relaxed with PBE.

Main lines, sorted by position (2θ from 10° to 90°):
d (Å)	2θ (°)	I/Imax
4.097	21.69	100
4.016	22.14	72
3.200	27.88	45
3.158	28.26	48
3.038	29.40	70
2.932	30.48	56
2.748	32.59	37
2.367	38.01	57
2.180	41.42	42
2.151	42.01	47

Structure:
Unit cell a=7.5478 b=7.5478 c=12.6908 alpha=104.73 beta=104.73 gamma=33.11
Sites, in units of the cell vectors:
Ac1 0.0000 0.0000 0.0000
Ac2 0.2004 0.2004 0.7697
Ac3 0.5956 0.5956 0.3745
Ac4 0.8954 0.8954 0.5594
Dy1 0.7751 0.7751 0.1404
Se1 0.1671 0.1671 0.2163
Se2 0.2343 0.2343 0.5189
Se3 0.3661 0.3661 0.0545
Se4 0.5569 0.5569 0.6187
Se5 0.6309 0.6309 0.9292
Se6 0.8548 0.8548 0.7813
Se7 0.9321 0.9321 0.3319


7.
LiCeTi2N4: computed PXRD pattern (CuKα), based on a cell relaxed with PBE.

Main lines, sorted by position (2θ from 10° to 90°):
d (Å)	2θ (°)	I/Imax
4.603	19.28	72
2.899	30.84	44
2.885	31.00	94
2.615	34.29	100
2.562	35.02	31
2.264	39.82	70
2.120	42.65	46
1.720	53.25	31
1.633	56.33	29
1.554	59.48	25

Structure:
Unit cell a=5.3623 b=5.3623 c=10.4699 alpha=90.00 beta=90.00 gamma=145.76
Sites, in units of the cell vectors:
Li1 0.1580 0.8420 0.7500
Li2 0.8420 0.1580 0.2500
Ce1 0.1095 0.8905 0.2500
Ce2 0.8905 0.1095 0.7500
Ti1 0.3691 0.6309 0.0506
Ti2 0.3691 0.6309 0.4494
Ti3 0.6309 0.3691 0.5506
Ti4 0.6309 0.3691 0.9494
N1 0.0000 0.0000 0.0000
N2 0.0000 0.0000 0.5000
N3 0.2688 0.7312 0.6095
N4 0.2688 0.7312 0.8905
N5 0.4410 0.5590 0.2500
N6 0.5590 0.4410 0.7500
N7 0.7312 0.2688 0.1095
N8 0.7312 0.2688 0.3905


8.
Nd2AlSn: computed PXRD pattern (CuKα), based on a cell relaxed with PBE.

Main lines, sorted by position (2θ from 10° to 90°):
d (Å)	2θ (°)	I/Imax
3.534	25.20	17
2.978	30.00	14
2.738	32.71	100
2.673	33.53	16
2.510	35.78	18
2.488	36.10	23
2.273	39.64	10
1.767	51.74	12
1.635	56.28	13
1.480	62.77	14

Structure:
Unit cell a=7.0682 b=6.6295 c=6.5974 alpha=64.60 beta=57.92 gamma=57.48
Sites, in units of the cell vectors:
Nd1 0.1979 0.8021 0.8021
Nd2 0.2500 0.2500 0.2500
Nd3 0.7500 0.7500 0.7500
Nd4 0.8021 0.1979 0.1979
Al1 0.2881 0.7119 0.2881
Al2 0.7119 0.2881 0.7119
Sn1 0.2951 0.2951 0.7049
Sn2 0.7049 0.7049 0.2951


9.
Tb6OsRh3: computed PXRD pattern (CuKα), based on a cell relaxed with PBE.

Main lines, sorted by position (2θ from 10° to 90°):
d (Å)	2θ (°)	I/Imax
2.882	31.04	67
2.438	36.87	100
2.383	37.75	48
2.375	37.87	95
2.086	43.38	18
1.836	49.66	12
1.704	53.81	22
1.419	65.79	17
1.383	67.75	22
1.374	68.23	17

Structure:
Unit cell a=8.2200 b=12.0970 c=4.7666 alpha=90.00 beta=90.00 gamma=90.00
Sites, in units of the cell vectors:
Tb1 0.0028 0.2483 0.0000
Tb2 0.1603 0.4130 0.5000
Tb3 0.1725 0.0799 0.5000
Tb4 0.3275 0.5799 0.0000
Tb5 0.3397 0.9130 0.0000
Tb6 0.4972 0.7483 0.5000
Tb7 0.5028 0.2517 0.5000
Tb8 0.6603 0.0870 0.0000
Tb9 0.6725 0.4201 0.0000
Tb10 0.8275 0.9201 0.5000
Tb11 0.8397 0.5870 0.5000
Tb12 0.9972 0.7517 0.0000
Os1 0.0000 0.5000 0.0000
Os2 0.5000 0.0000 0.5000
Rh1 0.0000 0.0000 0.0000
Rh2 0.1638 0.8359 0.5000
Rh3 0.3362 0.3359 0.0000
Rh4 0.5000 0.5000 0.5000
Rh5 0.6638 0.6641 0.0000
Rh6 0.8362 0.1641 0.5000


10.
Na4AuS3: computed PXRD pattern (CuKα), based on a cell relaxed with PBE.

Main lines, sorted by position (2θ from 10° to 90°):
d (Å)	2θ (°)	I/Imax
6.443	13.75	73
5.977	14.82	100
5.404	16.40	44
4.514	19.67	80
4.470	19.86	49
3.907	22.76	67
3.222	27.69	39
2.989	29.90	60
2.409	37.32	40
2.122	42.61	39

Structure:
Unit cell a=7.6874 b=7.6874 c=9.5865 alpha=108.92 beta=108.92 gamma=52.06
Sites, in units of the cell vectors:
Na1 0.0072 0.6381 0.1026
Na2 0.1405 0.8595 0.5000
Na3 0.2023 0.6187 0.7794
Na4 0.4511 0.7756 0.1906
Na5 0.6187 0.2023 0.2794
Na6 0.6381 0.0072 0.6026
Na7 0.7756 0.4511 0.6906
Na8 0.8595 0.1405 0.0000
Au1 0.1487 0.3443 0.3950
Au2 0.3443 0.1487 0.8950
S1 0.0479 0.0921 0.2941
S2 0.0921 0.0479 0.7941
S3 0.4220 0.4227 0.0331
S4 0.4227 0.4220 0.5331
S5 0.7409 0.8341 0.8494
S6 0.8341 0.7409 0.3494


11.
NdHo2ThS4: computed PXRD pattern (CuKα), based on a cell relaxed with PBE.

Main lines, sorted by position (2θ from 10° to 90°):
d (Å)	2θ (°)	I/Imax
3.303	27.00	23
3.229	27.63	22
3.217	27.73	43
2.806	31.89	100
2.006	45.20	12
2.002	45.30	25
1.968	46.11	24
1.962	46.28	12
1.608	57.28	12
1.403	66.65	12

Structure:
Unit cell a=6.8267 b=3.9239 c=6.9831 alpha=90.00 beta=108.94 gamma=90.00
Sites, in units of the cell vectors:
Nd1 0.0000 0.0000 0.0000
Ho1 0.0000 0.5000 0.5000
Ho2 0.5000 0.0000 0.5000
Th1 0.5000 0.5000 0.0000
S1 0.2449 0.0000 0.7332
S2 0.2565 0.5000 0.2671
S3 0.7435 0.5000 0.7329
S4 0.7551 0.0000 0.2668


12.
PaCoRu: computed PXRD pattern (CuKα), based on a cell relaxed with PBE.

Main lines, sorted by position (2θ from 10° to 90°):
d (Å)	2θ (°)	I/Imax
3.345	26.65	16
3.246	27.48	21
2.699	33.19	22
2.327	38.70	100
2.163	41.76	17
1.951	46.55	34
1.539	60.11	13
1.449	64.29	16
1.380	67.94	11
1.187	81.03	23

Structure:
Unit cell a=6.7779 b=6.7779 c=3.9031 alpha=90.00 beta=90.00 gamma=146.55
Sites, in units of the cell vectors:
Pa1 0.1097 0.8903 0.7500
Pa2 0.8903 0.1097 0.2500
Co1 0.2496 0.7504 0.2500
Co2 0.7504 0.2496 0.7500
Ru1 0.4090 0.5910 0.7500
Ru2 0.5910 0.4090 0.2500